Entry 1:
Structure and calculated X-ray powder pattern of Li9Fe2O8 (a DFT-relaxed cell (GGA+U, the Materials Project); λ = 1.5418 Å (Cu Kα)).

Structural model:
Cell: 5.5385 6.7742 10.8711 Å, 90.69 101.52 90.52°
Fractional positions:
Li1 0.0000 0.0000 0.0000
Li2 0.0146 0.4370 0.0112
Li3 0.1095 0.2545 0.8534
Li4 0.1721 0.1957 0.2490
Li5 0.2257 0.7060 0.9115
Li6 0.2535 0.9826 0.7562
Li7 0.2888 0.7048 0.2985
Li8 0.3974 0.4795 0.1418
Li9 0.4267 0.9293 0.1473
Li10 0.5121 0.4153 0.4977
Li11 0.5250 0.9740 0.5135
Li12 0.6121 0.1663 0.3523
Li13 0.6167 0.5030 0.8722
Li14 0.6900 0.1944 0.7343
Li15 0.7550 0.7052 0.4072
Li16 0.8021 0.4239 0.2675
Li17 0.8312 0.7924 0.7807
Li18 0.9231 0.4813 0.6392
Fe1 0.0375 0.1812 0.5081
Fe2 0.3909 0.6912 0.6373
Fe3 0.5297 0.2046 0.0036
Fe4 0.8819 0.7190 0.1338
O1 0.0341 0.2006 0.6789
O2 0.0768 0.4882 0.1914
O3 0.1042 0.9263 0.1837
O4 0.1353 0.7007 0.7197
O5 0.3015 0.0001 0.9389
O6 0.3166 0.1853 0.4351
O7 0.3396 0.4391 0.9576
O8 0.4256 0.6941 0.4750
O9 0.5418 0.9312 0.6893
O10 0.5544 0.2146 0.1805
O11 0.5930 0.4803 0.6893
O12 0.6119 0.6914 0.2181
O13 0.8052 0.2332 0.9234
O14 0.8279 0.9807 0.4497
O15 0.8339 0.4043 0.4484
O16 0.8679 0.7049 0.9559

Peak list (10 most intense, 10 to 90 degrees two-theta, most intense first)
2θ/deg, Rel. int.
21.4, 100.0
23.6, 60.8
24.0, 60.4
16.6, 43.6
21.1, 38.9
26.3, 33.5
16.8, 30.3
32.9, 29.3
27.1, 28.3
44.7, 23.0

***

Entry 2:
Structure and calculated X-ray powder pattern of Co5BiO12 (a DFT-relaxed cell (GGA+U, the Materials Project); λ = 1.5418 Å (Cu Kα)).

Structural model:
Cell: 5.0861 5.0861 9.4429 Å, 90.15 90.15 120.14°
Fractional positions:
Co1 0.0000 0.0000 0.0000
Co2 0.1668 0.8332 0.5000
Co3 0.3335 0.6665 0.0000
Co4 0.6665 0.3335 0.0000
Co5 0.8332 0.1668 0.5000
Bi1 0.5000 0.5000 0.5000
O1 0.0016 0.3342 0.0943
O2 0.1295 0.1295 0.3927
O3 0.1321 0.5011 0.6069
O4 0.3333 0.3333 0.9048
O5 0.3342 0.0016 0.0943
O6 0.4989 0.8679 0.3931
O7 0.5011 0.1321 0.6069
O8 0.6658 0.9984 0.9057
O9 0.6667 0.6667 0.0952
O10 0.8679 0.4989 0.3931
O11 0.8705 0.8705 0.6073
O12 0.9984 0.6658 0.9057

Peak list (10 most intense, 10 to 90 degrees two-theta, most intense first)
2θ/deg, Rel. int.
18.8, 100.0
36.6, 42.2
22.3, 19.5
40.2, 17.8
45.9, 17.4
45.8, 16.3
35.4, 13.1
20.2, 11.7
40.4, 9.8
52.8, 9.8

***

Entry 3:
Structure and calculated X-ray powder pattern of LiLa4Ni3WO12 (a DFT-relaxed cell (GGA+U, the Materials Project); λ = 1.5418 Å (Cu Kα)).

Structural model:
Cell: 5.5311 8.5035 5.5563 Å, 90.00 90.62 90.00°
Fractional positions:
Li1 0.0000 0.0000 0.0000
La1 0.0000 0.3071 0.0000
La2 0.0000 0.6929 0.0000
La3 0.5000 0.2787 0.5000
La4 0.5000 0.7213 0.5000
Ni1 0.0000 0.5000 0.5000
Ni2 0.5000 0.0000 0.0000
Ni3 0.5000 0.5000 0.0000
W1 0.0000 0.0000 0.5000
O1 0.0000 0.2449 0.5000
O2 0.0000 0.7551 0.5000
O3 0.2410 0.0000 0.7506
O4 0.2441 0.0000 0.2432
O5 0.2442 0.5000 0.7521
O6 0.2465 0.5000 0.2504
O7 0.5000 0.2535 0.0000
O8 0.5000 0.7465 0.0000
O9 0.7535 0.5000 0.7496
O10 0.7559 0.0000 0.7568
O11 0.7558 0.5000 0.2479
O12 0.7590 0.0000 0.2494

Peak list (10 most intense, 10 to 90 degrees two-theta, most intense first)
2θ/deg, Rel. int.
30.9, 100.0
31.1, 98.5
32.2, 56.9
32.4, 56.2
46.1, 34.8
46.6, 33.6
56.9, 25.9
42.5, 23.5
54.4, 22.0
57.1, 20.4

***

Entry 4:
Structure and calculated X-ray powder pattern of FeOF (a DFT-relaxed cell (GGA+U, the Materials Project); λ = 1.5418 Å (Cu Kα)).

Structural model:
Cell: 9.4910 3.0783 14.1775 Å, 90.00 90.09 90.00°
Fractional positions:
Fe1 0.0000 0.0000 0.0000
Fe2 0.0040 0.0000 0.6675
Fe3 0.0109 0.0000 0.3633
Fe4 0.2498 0.5000 0.5150
Fe5 0.2699 0.5000 0.1814
Fe6 0.2826 0.5000 0.8360
Fe7 0.4753 0.0000 0.3507
Fe8 0.4889 0.0000 0.6662
Fe9 0.5232 0.0000 0.9814
Fe10 0.7554 0.5000 0.1818
Fe11 0.7765 0.5000 0.8354
Fe12 0.7801 0.5000 0.5101
O1 0.1080 0.5000 0.4086
O2 0.1553 0.0000 0.5799
O3 0.3465 0.0000 0.4491
O4 0.3613 0.0000 0.7762
O5 0.3989 0.5000 0.2776
O6 0.4073 0.5000 0.6077
O7 0.4143 0.5000 0.9443
O8 0.6767 0.0000 0.8960
O9 0.8489 0.0000 0.4412
O10 0.8647 0.0000 0.7730
O11 0.9107 0.5000 0.6112
O12 0.9201 0.5000 0.9434
F1 0.1100 0.5000 0.7469
F2 0.1153 0.5000 0.0753
F3 0.1569 0.0000 0.2348
F4 0.1675 0.0000 0.9097
F5 0.3593 0.0000 0.1121
F6 0.5947 0.5000 0.4086
F7 0.6105 0.5000 0.0707
F8 0.6106 0.5000 0.7314
F9 0.6516 0.0000 0.2481
F10 0.6600 0.0000 0.5721
F11 0.8654 0.0000 0.1129
F12 0.9180 0.5000 0.2761

Peak list (10 most intense, 10 to 90 degrees two-theta, most intense first)
2θ/deg, Rel. int.
26.6, 100.0
34.8, 54.8
52.4, 41.2
39.8, 18.7
54.8, 15.1
52.5, 14.5
60.1, 9.7
66.5, 9.0
66.7, 9.0
85.7, 7.7

***

Entry 5:
Structure and calculated X-ray powder pattern of NaCoAsCO7 (a DFT-relaxed cell (GGA+U, the Materials Project); λ = 1.5418 Å (Cu Kα)).

Structural model:
Cell: 5.3318 6.2349 9.2457 Å, 90.00 93.13 90.00°
Fractional positions:
Na1 0.2357 0.0000 0.2699
Na2 0.7643 0.5000 0.7301
Co1 0.2140 0.2201 0.8324
Co2 0.7860 0.7201 0.1676
As1 0.2830 0.7261 0.9388
As2 0.7170 0.2261 0.0612
C1 0.2738 0.2322 0.5813
C2 0.7262 0.7322 0.4187
O1 0.0553 0.2285 0.6410
O2 0.1213 0.7324 0.0929
O3 0.2016 0.5214 0.8185
O4 0.2122 0.9288 0.8134
O5 0.3079 0.2326 0.4511
O6 0.3964 0.2102 0.0210
O7 0.4549 0.2335 0.6864
O8 0.5451 0.7335 0.3136
O9 0.6036 0.7102 0.9790
O10 0.6921 0.7326 0.5489
O11 0.7878 0.4288 0.1866
O12 0.7984 0.0214 0.1815
O13 0.8787 0.2324 0.9071
O14 0.9447 0.7285 0.3590

Peak list (10 most intense, 10 to 90 degrees two-theta, most intense first)
2θ/deg, Rel. int.
28.6, 100.0
24.8, 81.0
24.4, 78.2
18.8, 68.3
17.2, 60.6
19.7, 51.8
33.7, 50.0
30.0, 43.4
37.4, 39.4
51.6, 37.3

***

Entry 6:
Structure and calculated X-ray powder pattern of Li4Co3O7 (a DFT-relaxed cell (GGA+U, the Materials Project); λ = 1.5418 Å (Cu Kα)).

Structural model:
Cell: 6.3706 6.3706 14.2867 Å, 108.12 108.12 27.42°
Fractional positions:
Li1 0.0000 0.0000 0.0000
Li2 0.0000 0.0000 0.5000
Li3 0.1396 0.1396 0.2140
Li4 0.2875 0.2875 0.9318
Li5 0.4284 0.4284 0.6443
Li6 0.5716 0.5716 0.3557
Li7 0.7125 0.7125 0.0682
Li8 0.8604 0.8604 0.7860
Co1 0.1408 0.1408 0.7159
Co2 0.2860 0.2860 0.4278
Co3 0.4295 0.4295 0.1354
Co4 0.5705 0.5705 0.8646
Co5 0.7140 0.7140 0.5722
Co6 0.8592 0.8592 0.2841
O1 0.0084 0.0084 0.7533
O2 0.1367 0.1367 0.9556
O3 0.1516 0.1516 0.4670
O4 0.2764 0.2764 0.6775
O5 0.2992 0.2992 0.1792
O6 0.4207 0.4207 0.3899
O7 0.4412 0.4412 0.8878
O8 0.5588 0.5588 0.1122
O9 0.5793 0.5793 0.6101
O10 0.7008 0.7008 0.8208
O11 0.7236 0.7236 0.3225
O12 0.8484 0.8484 0.5330
O13 0.8633 0.8633 0.0444
O14 0.9916 0.9916 0.2467

Peak list (10 most intense, 10 to 90 degrees two-theta, most intense first)
2θ/deg, Rel. int.
18.3, 100.0
42.4, 62.6
35.2, 32.1
45.6, 23.5
37.3, 18.0
63.5, 14.9
64.5, 13.8
56.1, 9.5
61.4, 8.9
47.9, 8.5

***

Entry 7:
Structure and calculated X-ray powder pattern of V3O2F6 (a DFT-relaxed cell (GGA+U, the Materials Project); λ = 1.5418 Å (Cu Kα)).

Structural model:
Cell: 5.5388 4.7560 10.4360 Å, 90.00 96.24 90.00°
Fractional positions:
V1 0.0000 0.2303 0.0000
V2 0.0000 0.7697 0.5000
V3 0.5350 0.2655 0.5108
V4 0.5350 0.7345 0.0108
V5 0.7767 0.2506 0.2538
V6 0.7767 0.7494 0.7538
O1 0.7601 0.4402 0.0790
O2 0.7601 0.5598 0.5790
O3 0.8096 0.0447 0.4320
O4 0.8096 0.9553 0.9320
F1 0.0541 0.0755 0.1735
F2 0.0541 0.9245 0.6735
F3 0.2495 0.4879 0.5591
F4 0.2495 0.5121 0.0591
F5 0.2956 0.0288 0.9484
F6 0.2956 0.9712 0.4484
F7 0.5034 0.4207 0.3335
F8 0.5034 0.5793 0.8335
F9 0.5774 0.0615 0.6791
F10 0.5774 0.9385 0.1791
F11 0.9800 0.4451 0.8373
F12 0.9800 0.5549 0.3373

Peak list (10 most intense, 10 to 90 degrees two-theta, most intense first)
2θ/deg, Rel. int.
26.8, 100.0
34.6, 31.6
39.6, 28.8
16.1, 26.0
55.2, 24.5
20.5, 21.9
40.1, 21.0
17.1, 20.2
52.4, 16.8
25.6, 16.7

***

Entry 8:
Structure and calculated X-ray powder pattern of Li4Mn3VO8 (a DFT-relaxed cell (GGA+U, the Materials Project); λ = 1.5418 Å (Cu Kα)).

Structural model:
Cell: 6.0105 6.0105 6.0105 Å, 60.05 60.05 60.05°
Fractional positions:
Li1 0.0000 0.0000 0.0000
Li2 0.0000 0.5000 0.5000
Li3 0.5000 0.0000 0.5000
Li4 0.5000 0.5000 0.0000
Mn1 0.0000 0.0000 0.5000
Mn2 0.0000 0.5000 0.0000
Mn3 0.5000 0.0000 0.0000
V1 0.5000 0.5000 0.5000
O1 0.2333 0.2822 0.7582
O2 0.2391 0.2391 0.2391
O3 0.2418 0.7667 0.7178
O4 0.2822 0.7582 0.2333
O5 0.7178 0.2418 0.7667
O6 0.7582 0.2333 0.2822
O7 0.7609 0.7609 0.7609
O8 0.7667 0.7178 0.2418

Peak list (10 most intense, 10 to 90 degrees two-theta, most intense first)
2θ/deg, Rel. int.
18.1, 100.0
42.5, 80.6
61.7, 43.2
35.0, 41.5
56.2, 16.2
36.6, 16.1
64.8, 14.7
46.6, 13.1
77.8, 12.7
73.9, 9.2